Structure and simulated powder diffraction line list of Pu2TlPd4 (a crystal structure in Alexandria, relaxed with GGA-PBE; Cu Ka).
Lines closer than 0.1° are merged.

Atomic structure:
```
data_Pu2TlPd4
_cell_length_a 4.441
_cell_length_b 17.116
_cell_length_c 4.404
_cell_angle_alpha 90.00
_cell_angle_beta 90.00
_cell_angle_gamma 90.00
_space_group_name_H-M_alt 'C m m m'
_space_group_IT_number 65
_space_group_name_Hall '-C 2 2'
loop_
_atom_site_label
_atom_site_type_symbol
_atom_site_fract_x
_atom_site_fract_y
_atom_site_fract_z
Pu1 Pu 0.000 0.184 0.000
Tl1 Tl 0.000 0.500 0.500
Pd1 Pd 0.000 0.309 0.500
Pd2 Pd 0.000 0.412 0.000
```

Top 10 peaks for 5° ≤ 2θ ≤ 70°, by intensity:
| hkl | Position (°2θ) | I/Imax |
| --- | --- | --- |
| 1 5 1 | 39.01 | 100 |
| 0 4 1 | 29.06 | 33 |
| 1 3 1 | 32.66 | 28 |
| 1 3 0 | 25.42 | 27 |
| 2 0 0 | 40.63 | 26 |
| 0 0 2 | 40.99 | 26 |
| 1 1 0 | 20.66 | 19 |
| 2 0 2 | 59.08 | 18 |
| 0 2 0 | 10.34 | 17 |
| 0 2 1 | 22.71 | 12 |

Structure and simulated powder diffraction line list of Dy3Th5N8 (a crystal structure in Alexandria, relaxed with GGA-PBE; Cu Ka).
Lines closer than 0.1° are merged.

Atomic structure:
```
data_Dy3Th5N8
_cell_length_a 7.1955
_cell_length_b 7.1955
_cell_length_c 17.6078
_cell_angle_alpha 90.00
_cell_angle_beta 90.00
_cell_angle_gamma 120.00
_space_group_name_H-M_alt 'R -3 m'
_space_group_IT_number 166
_space_group_name_Hall '-R 3 2"'
loop_
_atom_site_label
_atom_site_type_symbol
_atom_site_fract_x
_atom_site_fract_y
_atom_site_fract_z
Dy1 Dy 0.0000 0.5000 0.0000
Th1 Th 0.0000 0.0000 0.0000
Th2 Th 0.0000 0.0000 0.5000
Th3 Th 0.0000 0.5000 0.5000
N1 N 0.0000 0.0000 0.2511
N2 N 0.0036 0.5018 0.2518
```

Top 10 peaks for 5° ≤ 2θ ≤ 70°, by intensity:
| hkl | Position (°2θ) | I/Imax |
| --- | --- | --- |
| 2 0 2 | 30.44 | 100 |
| 0 2 4 | 35.29 | 67 |
| 2 2 0 | 50.77 | 48 |
| 2 2 6 | 60.36 | 46 |
| 4 0 4 | 63.34 | 16 |
| 0 0 3 | 15.09 | 2 |
| 0 2 1 | 29.11 | 2 |
| 2 0 5 | 38.58 | 1 |
| 2 2 3 | 53.27 | 1 |
| 0 0 9 | 46.39 | 1 |